Calculated powder X-ray diffraction pattern of K2MoI4O14 for CuKα, from a cell relaxed with PBE+U.

The 10 most intense peaks (10 to 90 degrees two-theta), by angle:
- 2θ = 15.43°, I 36, (1 1 0)
- 2θ = 16.68°, I 30, (1 1 1)
- 2θ = 19.24°, I 34, (1 1 2)
- 2θ = 25.53°, I 100, (3 1 -2)
- 2θ = 26.71°, I 81, (1 1 4)
- 2θ = 27.71°, I 19, (0 2 0)
- 2θ = 31.07°, I 35, (2 0 -6)
- 2θ = 31.84°, I 15, (4 0 2)
- 2θ = 42.11°, I 18, (2 2 -6)
- 2θ = 51.34°, I 21, (5 1 -8)

Crystal structure
a = 12.9668 Å, b = 6.4389 Å, c = 17.8657 Å
α = 90.00°, β = 101.55°, γ = 90.00°
Space group C2/c (No. 15)
Asymmetric unit:
K  0.1761  0.0028  0.4627 x8
Mo  0.0000  0.1263  0.2500 x4
I  0.0384  0.4258  0.0903 x8
I  0.2096  0.4683  0.8223 x8
O  0.0182  0.1940  0.3599 x8
O  0.0516  0.3294  0.4984 x8
O  0.1081  0.0410  0.7600 x8
O  0.1113  0.3999  0.2459 x8
O  0.1245  0.3798  0.8865 x8
O  0.1578  0.2911  0.0790 x8
O  0.2277  0.1871  0.6237 x8